This entry pairs a crystal structure of Pr8Dy5Er with its theoretical powder X-ray diffraction pattern. Radiation: a wavelength of 1.5418 Å. Structure: a crystal structure in Alexandria, relaxed with GGA-PBE.

Peak list (8 most intense, 2θ from 10° to 90°, in order of rising 2θ)
d_spacing  2θ (°)  I_rel
3.484  25.57  26
3.023  29.55  46
2.905  30.78  38
2.855  31.33  100
2.824  31.69  37
2.777  32.24  61
2.620  34.22  39
1.833  49.75  27

Atomic structure:
Unit cell a=8.6404 b=8.6404 c=9.1986 alpha=121.72 beta=121.72 gamma=81.60
Sites, in units of the cell vectors:
1 Pr 0.0610 0.0610 0.2777
2 Pr 0.1142 0.2845 0.7681
3 Pr 0.3792 0.4927 0.7108
4 Pr 0.5073 0.6208 0.2892
5 Pr 0.5681 0.1223 0.9535
6 Pr 0.7155 0.8858 0.2319
7 Pr 0.8777 0.4319 0.0465
8 Pr 0.9390 0.9390 0.7223
9 Dy 0.2248 0.7752 0.5000
10 Dy 0.3328 0.2763 0.2384
11 Dy 0.5385 0.0964 0.5378
12 Dy 0.7237 0.6672 0.7616
13 Dy 0.9036 0.4615 0.4622
14 Er 0.2224 0.7776 0.0000

This entry pairs a crystal structure of Pr5Dy3Er with its theoretical powder X-ray diffraction pattern. Radiation: a wavelength of 1.5418 Å. Structure: a crystal structure in Alexandria, relaxed with GGA-PBE.

Peak list (8 most intense, 2θ from 10° to 90°, in order of rising 2θ)
d_spacing  2θ (°)  I_rel
3.245  27.49  13
3.044  29.34  20
2.909  30.73  46
2.833  31.59  100
2.805  31.90  30
2.686  33.36  25
2.587  34.67  15
1.933  47.00  13

Atomic structure:
Unit cell a=10.0220 b=10.0220 c=11.6092 alpha=114.67 beta=114.67 gamma=37.97
Sites, in units of the cell vectors:
1 Pr 0.0274 0.6474 0.2902
2 Pr 0.1017 0.8983 0.7500
3 Pr 0.1512 0.5018 0.6414
4 Pr 0.3526 0.9726 0.2098
5 Pr 0.4982 0.8488 0.8586
6 Pr 0.5018 0.1512 0.1414
7 Pr 0.6474 0.0274 0.7902
8 Pr 0.8488 0.4982 0.3586
9 Pr 0.8983 0.1017 0.2500
10 Pr 0.9726 0.3526 0.7098
11 Dy 0.0491 0.6306 0.9870
12 Dy 0.3694 0.9509 0.5130
13 Dy 0.5000 0.5000 0.0000
14 Dy 0.5000 0.5000 0.5000
15 Dy 0.6306 0.0491 0.4870
16 Dy 0.9509 0.3694 0.0130
17 Er 0.3770 0.6230 0.2500
18 Er 0.6230 0.3770 0.7500

This entry pairs a crystal structure of Pr9Dy2Er3 with its theoretical powder X-ray diffraction pattern. Radiation: a wavelength of 1.5418 Å. Structure: a crystal structure in Alexandria, relaxed with GGA-PBE.

Peak list (8 most intense, 2θ from 10° to 90°, in order of rising 2θ)
d_spacing  2θ (°)  I_rel
3.427  26.00  21
3.002  29.76  38
2.938  30.43  68
2.753  32.53  100
2.592  34.60  21
2.512  35.74  20
1.737  52.71  25
1.719  53.28  16

Atomic structure:
Unit cell a=9.1891 b=9.1891 c=13.7089 alpha=90.00 beta=90.00 gamma=120.00
Sites, in units of the cell vectors:
1 Pr 0.0779 0.4818 0.2500
2 Pr 0.1305 0.7267 0.0378
3 Pr 0.1305 0.7267 0.4622
4 Pr 0.2733 0.4038 0.0378
5 Pr 0.2733 0.4038 0.4622
6 Pr 0.4038 0.1305 0.5378
7 Pr 0.4038 0.1305 0.9622
8 Pr 0.4039 0.9221 0.2500
9 Pr 0.4818 0.4039 0.7500
10 Pr 0.5182 0.5961 0.2500
11 Pr 0.5961 0.0779 0.7500
12 Pr 0.5962 0.8695 0.0378
13 Pr 0.5962 0.8695 0.4622
14 Pr 0.7267 0.5962 0.5378
15 Pr 0.7267 0.5962 0.9622
16 Pr 0.8695 0.2733 0.5378
17 Pr 0.8695 0.2733 0.9622
18 Pr 0.9221 0.5182 0.7500
19 Dy 0.3333 0.6667 0.6427
20 Dy 0.3333 0.6667 0.8573
21 Dy 0.6667 0.3333 0.1427
22 Dy 0.6667 0.3333 0.3573
23 Er 0.0796 0.2505 0.7500
24 Er 0.1709 0.9204 0.7500
25 Er 0.2505 0.1709 0.2500
26 Er 0.7495 0.8291 0.7500
27 Er 0.8291 0.0796 0.2500
28 Er 0.9204 0.7495 0.2500

This entry pairs a crystal structure of Pr12Dy5Er2 with its theoretical powder X-ray diffraction pattern. Radiation: a wavelength of 1.5418 Å. Structure: a crystal structure in Alexandria, relaxed with GGA-PBE.

Peak list (8 most intense, 2θ from 10° to 90°, in order of rising 2θ)
d_spacing  2θ (°)  I_rel
2.957  30.22  100
2.920  30.62  80
2.686  33.36  46
2.614  34.30  30
2.369  37.99  19
1.873  48.61  18
1.556  59.38  14
1.461  63.71  15

Atomic structure:
Unit cell a=9.3195 b=9.3195 c=8.1530 alpha=93.46 beta=93.46 gamma=70.36
Sites, in units of the cell vectors:
1 Pr 0.0555 0.0555 0.2132
2 Pr 0.0933 0.5400 0.7077
3 Pr 0.1210 0.6652 0.1153
4 Pr 0.3348 0.8790 0.8847
5 Pr 0.3712 0.3712 0.3963
6 Pr 0.4600 0.9067 0.2923
7 Pr 0.5400 0.0933 0.7077
8 Pr 0.6288 0.6288 0.6037
9 Pr 0.6652 0.1210 0.1153
10 Pr 0.8790 0.3348 0.8847
11 Pr 0.9067 0.4600 0.2923
12 Pr 0.9445 0.9445 0.7868
13 Dy 0.1565 0.1565 0.5975
14 Dy 0.2589 0.2589 0.0127
15 Dy 0.5000 0.5000 0.0000
16 Dy 0.7411 0.7411 0.9873
17 Dy 0.8435 0.8435 0.4025
18 Er 0.2275 0.7725 0.5000
19 Er 0.7725 0.2275 0.5000

This entry pairs a crystal structure of PrDy4Er6 with its theoretical powder X-ray diffraction pattern. Radiation: a wavelength of 1.5418 Å. Structure: a crystal structure in Alexandria, relaxed with GGA-PBE.

Peak list (8 most intense, 2θ from 10° to 90°, in order of rising 2θ)
d_spacing  2θ (°)  I_rel
2.923  30.58  63
2.912  30.71  38
2.824  31.68  53
2.792  32.05  100
2.673  33.52  36
2.027  44.71  27
1.632  56.38  16
1.624  56.67  20

Atomic structure:
Unit cell a=5.5850 b=5.5850 c=25.5785 alpha=90.00 beta=90.00 gamma=119.25
Sites, in units of the cell vectors:
1 Pr 0.1771 0.8229 0.7500
2 Pr 0.8229 0.1771 0.2500
3 Dy 0.1626 0.8374 0.0416
4 Dy 0.1626 0.8374 0.4584
5 Dy 0.4865 0.5135 0.1212
6 Dy 0.4865 0.5135 0.3788
7 Dy 0.5135 0.4865 0.6212
8 Dy 0.5135 0.4865 0.8788
9 Dy 0.8374 0.1626 0.5416
10 Dy 0.8374 0.1626 0.9584
11 Er 0.1550 0.8450 0.1805
12 Er 0.1550 0.8450 0.3195
13 Er 0.1773 0.8227 0.6018
14 Er 0.1773 0.8227 0.8982
15 Er 0.4888 0.5112 0.2500
16 Er 0.5000 0.5000 0.0000
17 Er 0.5000 0.5000 0.5000
18 Er 0.5112 0.4888 0.7500
19 Er 0.8227 0.1773 0.1018
20 Er 0.8227 0.1773 0.3982
21 Er 0.8450 0.1550 0.6805
22 Er 0.8450 0.1550 0.8195

This entry pairs a crystal structure of PrDy5Er4 with its theoretical powder X-ray diffraction pattern. Radiation: a wavelength of 1.5418 Å. Structure: a crystal structure in Alexandria, relaxed with GGA-PBE.

Peak list (8 most intense, 2θ from 10° to 90°, in order of rising 2θ)
d_spacing  2θ (°)  I_rel
3.059  29.19  58
2.864  31.23  100
2.779  32.22  82
2.749  32.57  77
2.727  32.84  72
2.716  32.99  77
2.689  33.32  25
1.816  50.23  27

Atomic structure:
Unit cell a=3.5521 b=6.6408 c=14.1375 alpha=98.92 beta=93.55 gamma=103.60
Sites, in units of the cell vectors:
1 Pr 0.0000 0.0000 0.0000
2 Dy 0.2045 0.8813 0.5842
3 Dy 0.4950 0.4268 0.6147
4 Dy 0.5000 0.5000 0.0000
5 Dy 0.5050 0.5732 0.3853
6 Dy 0.7955 0.1187 0.4158
7 Er 0.1097 0.8074 0.2166
8 Er 0.2074 0.7310 0.8034
9 Er 0.7926 0.2690 0.1966
10 Er 0.8903 0.1926 0.7834